NdGd2In3Ni3: theoretical XRD peak list (Cu Kα X-rays), based on a cell relaxed with PBE.

Crystal structure
```
9
Lattice="3.8798 0.0000 0.0000 0.0000 6.4762 3.7558 0.0000 -6.4762 3.7558" Properties=species:S:1:pos:R:3 pbc="T T T"
Nd 0.0000 0.0000 0.0000
Gd 0.0000 -2.6639 2.8659
Gd 0.0000 2.6639 2.8659
In 1.9399 0.0000 2.5508
In 1.9399 -1.6465 5.3368
In 1.9399 1.6465 5.3368
Ni 0.0000 0.0000 4.3999
Ni 1.9399 -4.2980 4.4152
Ni 1.9399 4.2980 4.4152
```

Top 10 peaks for 10 to 90 degrees two-theta, most intense first:
33.24 deg, I 100; 36.08 deg, I 76; 36.60 deg, I 38; 60.88 deg, I 25; 46.83 deg, I 21; 36.70 deg, I 19; 67.43 deg, I 17; 56.29 deg, I 16; 41.70 deg, I 14; 50.66 deg, I 9

=====

Hf3NiAs4Pd3: theoretical XRD peak list (Cu Kα X-rays), based on a cell relaxed with PBE.

Crystal structure
```
11
Lattice="6.5565 0.0000 0.0000 0.0000 3.8795 0.0000 -0.1973 0.0000 7.6926" Properties=species:S:1:pos:R:3 pbc="T T T"
Hf 0.0000 0.0000 0.0000
Hf 0.4220 1.9398 2.8771
Hf 3.1425 0.0000 6.7313
Ni 4.5456 1.9398 0.9755
As 1.9380 1.9398 0.4811
As 2.0063 0.0000 4.3508
As 4.9319 1.9398 6.2792
As 5.1084 0.0000 2.3063
Pd 1.0308 1.9398 5.7377
Pd 2.5691 0.0000 1.9462
Pd 5.8025 0.0000 4.7498
```

Top 10 peaks for 10 to 90 degrees two-theta, most intense first:
35.86 deg, I 100; 38.01 deg, I 64; 37.56 deg, I 64; 42.25 deg, I 58; 46.83 deg, I 49; 35.37 deg, I 43; 44.28 deg, I 26; 13.51 deg, I 26; 37.33 deg, I 25; 11.50 deg, I 22

=====

CsAgSeS3: theoretical XRD peak list (Cu Kα X-rays), based on a cell relaxed with PBE.

Crystal structure
```
12
Lattice="8.5775 0.0000 0.0000 0.0000 4.0263 0.0000 -4.0482 0.0000 9.3133" Properties=species:S:1:pos:R:3 pbc="T T T"
Cs 0.9560 1.0066 2.6902
Cs 3.5733 3.0197 6.6232
Ag -1.6952 1.0066 5.5942
Ag 6.2245 3.0197 3.7192
Se -0.7148 3.0197 8.1377
Se 5.2441 1.0066 1.1756
S -2.2830 1.0066 8.1758
S -0.1623 3.0197 5.3737
S 3.4813 3.0197 1.1655
S 1.0480 1.0066 8.1478
S 4.6916 1.0066 3.9397
S 6.8123 3.0197 1.1376
```

Top 10 peaks for 10 to 90 degrees two-theta, most intense first:
11.47 deg, I 100; 31.80 deg, I 97; 23.06 deg, I 90; 34.62 deg, I 86; 30.46 deg, I 86; 28.54 deg, I 71; 45.02 deg, I 64; 35.05 deg, I 62; 35.88 deg, I 57; 17.42 deg, I 55

=====

Cu3GeSe2S2: theoretical XRD peak list (Cu Kα X-rays), based on a cell relaxed with PBE.

Crystal structure
```
8
Lattice="6.0645 -2.7092 0.0000 6.0645 2.7092 0.0000 -2.4031 0.0000 4.8725" Properties=species:S:1:pos:R:3 pbc="T T T"
Cu 0.0000 0.0000 0.0000
Cu 1.2934 0.1090 3.5246
Cu 8.4324 0.1090 1.3479
Ge 4.8629 0.1742 2.4362
Se 4.2127 -1.2520 0.5804
Se 5.5131 -1.2520 4.2920
S 3.0541 1.4667 3.0466
S 6.6717 1.4667 1.8259
```

Top 10 peaks for 10 to 90 degrees two-theta, most intense first:
47.39 deg, I 100; 28.53 deg, I 88; 28.41 deg, I 88; 56.26 deg, I 47; 56.03 deg, I 24; 47.14 deg, I 20; 88.33 deg, I 18; 76.61 deg, I 13; 87.85 deg, I 12; 69.12 deg, I 12

=====

LiHf3O6: theoretical XRD peak list (Cu Kα X-rays), based on a cell relaxed with PBE.

Crystal structure
```
10
Lattice="3.1616 0.0000 0.0000 -1.5808 2.7380 0.0000 0.0000 0.0000 14.6410" Properties=species:S:1:pos:R:3 pbc="T T T"
Li 0.0000 0.0000 0.0000
Hf 0.0000 0.0000 2.7078
Hf 0.0000 0.0000 7.3205
Hf 0.0000 0.0000 11.9332
O 0.0000 1.8254 3.7014
O 0.0000 1.8254 8.3173
O 0.0000 1.8254 13.2037
O 1.5808 0.9127 1.4373
O 1.5808 0.9127 6.3237
O 1.5808 0.9127 10.9396
```

Top 10 peaks for 10 to 90 degrees two-theta, most intense first:
18.18 deg, I 100; 37.67 deg, I 90; 32.71 deg, I 61; 50.07 deg, I 39; 61.68 deg, I 23; 58.38 deg, I 19; 71.59 deg, I 14; 80.43 deg, I 10; 66.90 deg, I 9; 55.27 deg, I 9

=====

Gd2Ge2PdPt3: theoretical XRD peak list (Cu Kα X-rays), based on a cell relaxed with PBE.

Crystal structure
```
8
Lattice="4.4004 0.0000 0.0000 -2.2002 3.8108 0.0000 0.0000 0.0000 9.1797" Properties=species:S:1:pos:R:3 pbc="T T T"
Gd 0.0000 0.0000 0.0000
Gd 0.0000 2.5406 4.5723
Ge 2.2002 1.2703 2.2649
Ge 2.2002 1.2703 6.8034
Pd 0.0000 2.5406 7.6210
Pt 0.0000 0.0000 3.0385
Pt 0.0000 0.0000 6.1438
Pt 0.0000 2.5406 1.4946
```

Top 10 peaks for 10 to 90 degrees two-theta, most intense first:
37.70 deg, I 100; 41.02 deg, I 70; 56.93 deg, I 31; 72.54 deg, I 30; 23.34 deg, I 29; 75.72 deg, I 13; 74.73 deg, I 12; 65.77 deg, I 11; 88.98 deg, I 8; 80.51 deg, I 6

=====

Er3Lu4Ni2S2: theoretical XRD peak list (Cu Kα X-rays), based on a cell relaxed with PBE.

Crystal structure
```
11
Lattice="-1.8527 7.2557 4.5050 1.8527 -7.2557 4.5050 1.8527 7.2557 -4.5050" Properties=species:S:1:pos:R:3 pbc="T T T"
Er 0.0000 0.0000 0.0000
Er 1.8527 5.5040 -0.8406
Er 0.0000 1.7517 3.6644
Lu 1.8527 2.6872 1.0218
Lu 0.0000 5.3044 2.2545
Lu 0.0000 9.2070 2.2545
Lu 0.0000 4.5685 5.5268
Ni 1.8527 -3.8035 3.7502
Ni 1.8527 3.8035 3.7502
S 1.8527 0.0000 2.2294
S 0.0000 0.0000 5.9351
```

Top 10 peaks for 10 to 90 degrees two-theta, most intense first:
36.05 deg, I 100; 31.87 deg, I 71; 30.39 deg, I 67; 35.17 deg, I 55; 36.48 deg, I 49; 32.41 deg, I 44; 57.46 deg, I 36; 49.18 deg, I 29; 38.59 deg, I 22; 54.67 deg, I 22

=====

Dy2Sc2CI2Br3: theoretical XRD peak list (Cu Kα X-rays), based on a cell relaxed with PBE.

Crystal structure
```
10
Lattice="9.7428 -1.8929 0.0000 9.7428 1.8929 0.0000 -1.6305 0.0000 7.7791" Properties=species:S:1:pos:R:3 pbc="T T T"
Dy 2.2919 0.0000 0.4200
Dy 15.5632 0.0000 7.3591
Sc 8.3984 0.0000 6.3032
Sc 9.4568 0.0000 1.4758
C 0.0000 0.0000 0.0000
I 5.6167 0.0000 5.0496
I 12.2385 0.0000 2.7295
Br -0.8153 0.0000 3.8895
Br 6.5779 0.0000 1.4992
Br 11.2773 0.0000 6.2799
```

Top 10 peaks for 10 to 90 degrees two-theta, most intense first:
32.67 deg, I 100; 18.61 deg, I 52; 37.86 deg, I 38; 30.89 deg, I 37; 37.76 deg, I 31; 28.07 deg, I 30; 19.74 deg, I 27; 43.60 deg, I 25; 11.37 deg, I 24; 50.75 deg, I 21

=====

LaHoCu2: theoretical XRD peak list (Cu Kα X-rays), based on a cell relaxed with PBE.

Crystal structure
```
8
Lattice="4.5499 0.0000 0.0000 0.0000 5.5244 0.0000 0.0000 0.0000 7.2241" Properties=species:S:1:pos:R:3 pbc="T T T"
La 0.0000 0.6626 0.0000
La 0.0000 4.8618 3.6120
Ho 2.2750 2.1394 4.6098
Ho 2.2750 3.3850 0.9977
Cu 0.0000 2.1092 2.5692
Cu 0.0000 3.4152 6.1813
Cu 2.2750 0.7193 2.0892
Cu 2.2750 4.8051 5.7012
```

Top 10 peaks for 10 to 90 degrees two-theta, most intense first:
31.63 deg, I 100; 35.66 deg, I 99; 40.18 deg, I 87; 34.77 deg, I 85; 28.25 deg, I 85; 39.62 deg, I 64; 53.72 deg, I 51; 40.88 deg, I 45; 25.36 deg, I 33; 58.24 deg, I 31

=====

Mo3PCN: theoretical XRD peak list (Cu Kα X-rays), based on a cell relaxed with PBE.

Crystal structure
```
12
Lattice="3.0643 0.0000 0.0000 -1.5321 2.6537 0.0000 0.0000 0.0000 17.3385" Properties=species:S:1:pos:R:3 pbc="T T T"
Mo 0.0000 0.0000 0.0000
Mo 0.0000 0.0000 8.6692
Mo 0.0000 1.7691 2.6462
Mo 0.0000 1.7691 6.1978
Mo 1.5321 0.8846 11.1407
Mo 1.5321 0.8846 14.6922
P 0.0000 0.0000 4.3506
P 0.0000 0.0000 12.9879
C 0.0000 1.7691 9.9626
C 1.5321 0.8846 7.3759
N 0.0000 1.7691 16.0260
N 1.5321 0.8846 1.3125
```

Top 10 peaks for 10 to 90 degrees two-theta, most intense first:
39.83 deg, I 100; 42.91 deg, I 57; 34.18 deg, I 53; 60.42 deg, I 36; 30.95 deg, I 26; 35.37 deg, I 24; 69.41 deg, I 20; 74.83 deg, I 19; 59.27 deg, I 17; 64.16 deg, I 14